AcPm2PrTm4: computed powder diffractogram (copper Kα), based on a DFT-relaxed cell (PBE, Alexandria).
No peak broadening, texture or thermal motion is included.

Top 12 peaks for 2θ from 10° to 90°, low angle first:
2theta  intensity
26.51  45
29.90  100
40.39  88
53.04  14
53.19  7
60.26  18
60.40  9
62.19  8
63.50  23
68.82  12
79.60  8
87.37  7

Structural model:
abc: 6.8880 11.9733 13.4469
angles: 90.00 90.00 90.00
Space group Imma (No. 74)
One atom of each set of equivalent atoms:
Ac 0.0000 0.0000 0.0000 (multiplicity 4)
Pm 0.0000 0.0000 0.5000 (multiplicity 4)
Pm 0.2500 0.2500 0.2500 (multiplicity 4)
Pr 0.2500 0.2500 0.7500 (multiplicity 4)
Tm 0.0000 0.0018 0.2581 (multiplicity 8)
Tm 0.2378 0.2500 0.4985 (multiplicity 8)

---

AcPmPt3: computed powder diffractogram (copper Kα), based on a DFT-relaxed cell (PBE, Alexandria).
No peak broadening, texture or thermal motion is included.

Top 12 peaks for 2θ from 10° to 90°, low angle first:
2theta  intensity
31.51  100
31.66  30
38.80  48
41.27  28
42.41  21
44.31  23
48.62  14
52.93  15
60.33  27
62.15  17
69.15  14
73.56  19

Structural model:
abc: 4.0884 27.3843 4.3748
angles: 90.00 90.00 90.00
Space group Cmcm (No. 63)
One atom of each set of equivalent atoms:
Ac 0.0000 0.0742 0.2500 (multiplicity 4)
Pm 0.0000 0.2063 0.7500 (multiplicity 4)
Pt 0.0000 0.3134 0.7500 (multiplicity 4)
Pt 0.0000 0.3750 0.2500 (multiplicity 4)
Pt 0.0000 0.4717 0.2500 (multiplicity 4)

---

AcPm4Pt4: computed powder diffractogram (copper Kα), based on a DFT-relaxed cell (PBE, Alexandria).
No peak broadening, texture or thermal motion is included.

Top 12 peaks for 2θ from 10° to 90°, low angle first:
2theta  intensity
17.77  24
29.74  100
30.47  49
42.56  37
43.09  74
53.24  39
61.76  12
70.03  16
70.42  16
71.58  17
78.26  24
79.38  12

Structural model:
abc: 9.5003 9.5003 5.8681
angles: 90.00 90.00 90.00
Space group I4/m (No. 87)
One atom of each set of equivalent atoms:
Ac 0.0000 0.0000 0.0000 (multiplicity 2)
Pm 0.1047 0.6794 0.5000 (multiplicity 8)
Pt 0.1097 0.6988 0.0000 (multiplicity 8)

---

AcPm3Pt: computed powder diffractogram (copper Kα), based on a DFT-relaxed cell (PBE, Alexandria).
No peak broadening, texture or thermal motion is included.

Top 12 peaks for 2θ from 10° to 90°, low angle first:
2theta  intensity
17.73  16
21.89  27
27.75  20
29.23  48
29.34  100
38.21  60
45.30  35
45.55  17
50.06  33
53.96  11
55.04  18
75.92  13

Structural model:
abc: 7.9662 6.9452 6.4298
angles: 90.00 90.00 90.00
Space group Pmn2_1 (No. 31)
One atom of each set of equivalent atoms:
Ac 0.0000 0.1573 0.0000 (multiplicity 2)
Pm 0.0000 0.8553 0.4780 (multiplicity 2)
Pm 0.2473 0.6859 0.9954 (multiplicity 4)
Pt 0.0000 0.5157 0.7298 (multiplicity 2)

---

AcPmSmPt2: computed powder diffractogram (copper Kα), based on a DFT-relaxed cell (PBE, Alexandria).
No peak broadening, texture or thermal motion is included.

Top 12 peaks for 2θ from 10° to 90°, low angle first:
2theta  intensity
10.41  22
15.60  38
20.92  22
26.39  91
30.31  45
31.49  25
33.20  23
33.82  53
35.41  100
37.08  85
38.78  59
52.38  31

Structural model:
abc: 15.3927 4.6440 11.4182
angles: 90.00 131.93 90.00
Space group C2/m (No. 12)
One atom of each set of equivalent atoms:
Ac 0.0450 0.0000 0.2263 (multiplicity 4)
Pm 0.2456 0.5000 0.1295 (multiplicity 4)
Sm 0.1327 0.5000 0.5487 (multiplicity 4)
Pt 0.1004 0.5000 0.7805 (multiplicity 4)
Pt 0.2321 0.5000 0.3835 (multiplicity 4)

---

AcPm2PuSe4: computed powder diffractogram (copper Kα), based on a DFT-relaxed cell (PBE, Alexandria).
No peak broadening, texture or thermal motion is included.

Top 12 peaks for 2θ from 10° to 90°, low angle first:
2theta  intensity
25.53  15
25.71  15
29.66  100
42.22  13
42.45  50
42.68  12
52.44  14
52.84  13
61.59  13
69.83  23
77.34  9
77.98  9

Structural model:
abc: 7.3882 4.2368 7.3924
angles: 90.00 109.20 90.00
Space group P2/m (No. 10)
One atom of each set of equivalent atoms:
Ac 0.0000 0.0000 0.0000 (multiplicity 1)
Pm 0.0000 0.5000 0.5000 (multiplicity 1)
Pm 0.5000 0.0000 0.5000 (multiplicity 1)
Pu 0.5000 0.5000 0.0000 (multiplicity 1)
Se 0.2583 0.0000 0.7472 (multiplicity 2)
Se 0.2628 0.5000 0.2604 (multiplicity 2)